Diffraction record for Ni2P5O16. The PXRD pattern is computed, not measured: it uses the GGA+U geometry in Alexandria and Cu Kα (weighted mean of Kα1 and Kα2).
Lines closer than 0.1° are merged.

Peak list (12 most intense, 10° ≤ 2θ ≤ 90°, sorted by position)
- 13.9°, d 6.357, I 81, hkl 0 1 1
- 16.1°, d 5.496, I 25, hkl 0 1 2
- 18.7°, d 4.733, I 52, hkl 0 0 4
- 22.5°, d 3.954, I 100, hkl 1 1 -1
- 23.9°, d 3.729, I 13, hkl 1 1 -2
- 24.0°, d 3.701, I 14, hkl 1 1 2
- 28.3°, d 3.156, I 23, hkl 0 0 6
- 32.3°, d 2.774, I 34, hkl 1 2 -1
- 32.6°, d 2.748, I 19, hkl 1 1 5
- 33.3°, d 2.693, I 16, hkl 1 2 -2
- 35.6°, d 2.520, I 11, hkl 2 0 0
- 40.4°, d 2.235, I 9, hkl 2 0 -4

Crystal structure
Unit cell a=5.0409 b=6.7492 c=18.9349 alpha=90.00 beta=90.74 gamma=90.00
Positions (direct):
Ni 0.2393 0.1848 0.4063
Ni 0.2393 0.8152 0.9063
Ni 0.7607 0.1848 0.0937
Ni 0.7607 0.8152 0.5937
P 0.0000 0.2576 0.2500
P 0.0000 0.7424 0.7500
P 0.2429 0.1328 0.5755
P 0.2429 0.8672 0.0755
P 0.2665 0.4571 0.1320
P 0.2665 0.5429 0.6320
P 0.7335 0.4571 0.3680
P 0.7335 0.5429 0.8680
P 0.7571 0.1328 0.9245
P 0.7571 0.8672 0.4245
O 0.0417 0.0540 0.9294
O 0.0417 0.9460 0.4294
O 0.0741 0.3559 0.0821
O 0.0741 0.6441 0.5821
O 0.1501 0.1400 0.3046
O 0.1501 0.8600 0.8046
O 0.2014 0.4098 0.2130
O 0.2014 0.5902 0.7130
O 0.2231 0.3093 0.6335
O 0.2231 0.6907 0.1335
O 0.3357 0.2273 0.5068
O 0.3357 0.7727 0.0068
O 0.4385 0.0147 0.1073
O 0.4385 0.9853 0.6073
O 0.4415 0.4209 0.3795
O 0.4415 0.5791 0.8795
O 0.5585 0.4209 0.1205
O 0.5585 0.5791 0.6205
O 0.5615 0.0147 0.3927
O 0.5615 0.9853 0.8927
O 0.6643 0.2273 0.9932
O 0.6643 0.7727 0.4932
O 0.7769 0.3093 0.8665
O 0.7769 0.6907 0.3665
O 0.7986 0.4098 0.2870
O 0.7986 0.5902 0.7870
O 0.8499 0.1400 0.1954
O 0.8499 0.8600 0.6954
O 0.9259 0.3559 0.4179
O 0.9259 0.6441 0.9179
O 0.9583 0.0540 0.5706
O 0.9583 0.9460 0.0706